Simulated PXRD pattern of LiMn2P2O8 for Cu Ka, from a cell relaxed with GGA+U.
Intensities are scaled so that the largest is 100.

Unit cell a=5.301 b=6.101 c=9.439 alpha=89.99 beta=89.38 gamma=89.98
Space group P1 (No. 1)
Asymmetric unit:
Li  0.000  0.000  0.000 (multiplicity 1)
Li  0.499  0.256  0.500 (multiplicity 1)
Mn  0.359  0.748  0.723 (multiplicity 1)
Mn  0.457  0.277  0.918 (multiplicity 1)
Mn  0.858  0.507  0.223 (multiplicity 1)
Mn  0.956  0.979  0.417 (multiplicity 1)
P  0.361  0.230  0.192 (multiplicity 1)
P  0.393  0.738  0.422 (multiplicity 1)
P  0.861  0.025  0.692 (multiplicity 1)
P  0.894  0.518  0.922 (multiplicity 1)
O  0.089  0.023  0.791 (multiplicity 1)
O  0.109  0.212  0.279 (multiplicity 1)
O  0.135  0.506  0.829 (multiplicity 1)
O  0.145  0.733  0.327 (multiplicity 1)
O  0.354  0.955  0.508 (multiplicity 1)
O  0.365  0.057  0.067 (multiplicity 1)
O  0.365  0.444  0.100 (multiplicity 1)
O  0.390  0.549  0.529 (multiplicity 1)
O  0.589  0.233  0.291 (multiplicity 1)
O  0.608  0.044  0.779 (multiplicity 1)
O  0.635  0.749  0.330 (multiplicity 1)
O  0.646  0.522  0.828 (multiplicity 1)
O  0.855  0.301  0.009 (multiplicity 1)
O  0.864  0.199  0.567 (multiplicity 1)
O  0.864  0.812  0.599 (multiplicity 1)
O  0.892  0.707  0.029 (multiplicity 1)

Principal peaks in the range 10 to 80 degrees two-theta, most intense first:
Position (°2θ), d_spacing, Rel. int.
17.31, 5.124, 100.0
24.09, 3.695, 61.1
33.87, 2.647, 53.9
32.01, 2.796, 36.8
39.14, 2.301, 24.2
24.23, 3.673, 22.8
51.79, 1.765, 18.5
38.14, 2.360, 17.8
36.47, 2.464, 17.1
38.79, 2.322, 15.2
52.11, 1.755, 14.3
53.67, 1.708, 12.8

---

Simulated PXRD pattern of LiMnP2O7 for Cu Ka, from a cell relaxed with GGA+U.
Intensities are scaled so that the largest is 100.

Unit cell a=6.218 b=6.297 c=7.287 alpha=68.96 beta=74.43 gamma=80.73
Space group P-1 (No. 2)
Asymmetric unit:
Li  0.167  0.088  0.344 (multiplicity 2)
Mn  0.443  0.271  0.716 (multiplicity 2)
P  0.110  0.635  0.193 (multiplicity 2)
P  0.318  0.789  0.740 (multiplicity 2)
O  0.116  0.397  0.331 (multiplicity 2)
O  0.125  0.247  0.829 (multiplicity 2)
O  0.143  0.932  0.637 (multiplicity 2)
O  0.229  0.626  0.965 (multiplicity 2)
O  0.257  0.793  0.225 (multiplicity 2)
O  0.442  0.608  0.634 (multiplicity 2)
O  0.491  0.939  0.746 (multiplicity 2)

Principal peaks in the range 10 to 80 degrees two-theta, most intense first:
Position (°2θ), d_spacing, Rel. int.
26.93, 3.310, 100.0
29.87, 2.991, 48.0
17.57, 5.047, 37.8
30.38, 2.942, 37.2
21.99, 4.041, 25.1
30.07, 2.972, 24.4
24.94, 3.570, 22.4
30.50, 2.931, 22.3
23.37, 3.806, 22.1
14.83, 5.974, 22.0
33.70, 2.660, 20.5
33.03, 2.712, 20.1